# RbAg2As3Se6
Computed powder diffraction line list, a wavelength of 1.5418 Å. Input: a cell relaxed with GGA-PBE.

Cell and atoms:
```
data_RbAg2As3Se6
_cell_length_a 10.1634
_cell_length_b 7.8432
_cell_length_c 20.3350
_cell_angle_alpha 90.00
_cell_angle_beta 119.58
_cell_angle_gamma 90.00
_space_group_name_H-M_alt 'P 1'
_space_group_IT_number 1
loop_
_space_group_symop_operation_xyz
'x,y,z'
loop_
_atom_site_label
_atom_site_type_symbol
_atom_site_fract_x
_atom_site_fract_y
_atom_site_fract_z
Rb1 Rb 0.1650 0.1698 0.1691
Rb2 Rb 0.1650 0.3302 0.6691
Rb3 Rb 0.8350 0.6698 0.3309
Rb4 Rb 0.8350 0.8302 0.8309
Ag1 Ag 0.3519 0.0204 0.0014
Ag2 Ag 0.3519 0.4796 0.5014
Ag3 Ag 0.4526 0.0385 0.4197
Ag4 Ag 0.4526 0.4615 0.9197
Ag5 Ag 0.5474 0.5385 0.0803
Ag6 Ag 0.5474 0.9615 0.5803
Ag7 Ag 0.6481 0.5204 0.4986
Ag8 Ag 0.6481 0.9796 0.9986
As1 As 0.0465 0.1485 0.3543
As2 As 0.0465 0.3515 0.8543
As3 As 0.2166 0.6221 0.0824
As4 As 0.2166 0.8779 0.5824
As5 As 0.3455 0.6306 0.2773
As6 As 0.3455 0.8694 0.7773
As7 As 0.6545 0.1306 0.2227
As8 As 0.6545 0.3694 0.7227
As9 As 0.7834 0.1221 0.4176
As10 As 0.7834 0.3779 0.9176
As11 As 0.9535 0.6485 0.1457
As12 As 0.9535 0.8515 0.6457
Se1 Se 0.0108 0.2030 0.9510
Se2 Se 0.0108 0.2970 0.4510
Se3 Se 0.1305 0.7006 0.7640
Se4 Se 0.1305 0.7994 0.2640
Se5 Se 0.2677 0.2046 0.8725
Se6 Se 0.2677 0.2954 0.3725
Se7 Se 0.2709 0.7012 0.9845
Se8 Se 0.2709 0.7988 0.4845
Se9 Se 0.4101 0.7175 0.6908
Se10 Se 0.4101 0.7825 0.1908
Se11 Se 0.4550 0.2480 0.6086
Se12 Se 0.4550 0.2520 0.1086
Se13 Se 0.5450 0.7480 0.8914
Se14 Se 0.5450 0.7520 0.3914
Se15 Se 0.5899 0.2175 0.8092
Se16 Se 0.5899 0.2825 0.3092
Se17 Se 0.7291 0.2012 0.5155
Se18 Se 0.7291 0.2988 0.0155
Se19 Se 0.7323 0.7046 0.6275
Se20 Se 0.7323 0.7954 0.1275
Se21 Se 0.8695 0.2006 0.7360
Se22 Se 0.8695 0.2994 0.2360
Se23 Se 0.9892 0.7030 0.5490
Se24 Se 0.9892 0.7970 0.0490
```

Most intense lines, 5 to 70 degrees two-theta, in order of rising 2θ:
10.02°, d 8.828, I 38.4; 15.11°, d 5.862, I 30.6; 24.82°, d 3.587, I 42.3; 28.71°, d 3.109, I 28.8; 29.00°, d 3.079, I 46.5; 29.16°, d 3.063, I 100.0

=====

# Rb2AgAs3Se6
Computed powder diffraction line list, a wavelength of 1.5418 Å. Input: a cell relaxed with GGA-PBE.

Cell and atoms:
```
data_Rb2AgAs3Se6
_cell_length_a 13.1013
_cell_length_b 8.0354
_cell_length_c 18.5509
_cell_angle_alpha 90.00
_cell_angle_beta 127.00
_cell_angle_gamma 90.00
_space_group_name_H-M_alt 'P 1'
_space_group_IT_number 1
loop_
_space_group_symop_operation_xyz
'x,y,z'
loop_
_atom_site_label
_atom_site_type_symbol
_atom_site_fract_x
_atom_site_fract_y
_atom_site_fract_z
Rb1 Rb 0.0849 0.1043 0.2383
Rb2 Rb 0.0849 0.3957 0.7383
Rb3 Rb 0.2845 0.6362 0.6121
Rb4 Rb 0.2845 0.8638 0.1121
Rb5 Rb 0.7155 0.1362 0.8879
Rb6 Rb 0.7155 0.3638 0.3879
Rb7 Rb 0.9151 0.6043 0.2617
Rb8 Rb 0.9151 0.8957 0.7617
Ag1 Ag 0.0238 0.0114 0.4272
Ag2 Ag 0.0238 0.4886 0.9272
Ag3 Ag 0.9762 0.5114 0.0728
Ag4 Ag 0.9762 0.9886 0.5728
As1 As 0.2743 0.0943 0.6492
As2 As 0.2743 0.4057 0.1492
As3 As 0.3301 0.5475 0.3594
As4 As 0.3301 0.9525 0.8594
As5 As 0.3790 0.1788 0.5034
As6 As 0.3790 0.3212 0.0034
As7 As 0.6210 0.6788 0.9966
As8 As 0.6210 0.8212 0.4966
As9 As 0.6699 0.0475 0.1406
As10 As 0.6699 0.4525 0.6406
As11 As 0.7257 0.5943 0.8508
As12 As 0.7257 0.9057 0.3508
Se1 Se 0.0858 0.2377 0.0545
Se2 Se 0.0858 0.2623 0.5545
Se3 Se 0.1551 0.6767 0.2264
Se4 Se 0.1551 0.8233 0.7264
Se5 Se 0.2200 0.0947 0.9141
Se6 Se 0.2200 0.4053 0.4141
Se7 Se 0.2478 0.5587 0.9599
Se8 Se 0.2478 0.9413 0.4599
Se9 Se 0.3755 0.2030 0.8027
Se10 Se 0.3755 0.2970 0.3027
Se11 Se 0.4422 0.2479 0.6552
Se12 Se 0.4422 0.2521 0.1552
Se13 Se 0.5578 0.7479 0.8448
Se14 Se 0.5578 0.7521 0.3448
Se15 Se 0.6245 0.7030 0.6973
Se16 Se 0.6245 0.7970 0.1973
Se17 Se 0.7522 0.0587 0.5401
Se18 Se 0.7522 0.4413 0.0401
Se19 Se 0.7800 0.5947 0.5859
Se20 Se 0.7800 0.9053 0.0859
Se21 Se 0.8449 0.1767 0.2736
Se22 Se 0.8449 0.3233 0.7736
Se23 Se 0.9142 0.7377 0.4455
Se24 Se 0.9142 0.7623 0.9455
```

Most intense lines, 5 to 70 degrees two-theta, in order of rising 2θ:
12.95°, d 6.834, I 100.0; 26.52°, d 3.362, I 50.5; 27.89°, d 3.200, I 50.8; 28.62°, d 3.119, I 50.8; 29.67°, d 3.011, I 74.5; 31.83°, d 2.811, I 49.7

=====

# Rb2ZnAgAs2
Computed powder diffraction line list, a wavelength of 1.5418 Å. Input: a cell relaxed with GGA-PBE.

Cell and atoms:
```
data_Rb2ZnAgAs2
_cell_length_a 9.3969
_cell_length_b 9.3969
_cell_length_c 9.3969
_cell_angle_alpha 139.76
_cell_angle_beta 57.89
_cell_angle_gamma 140.19
_space_group_name_H-M_alt 'P 1'
_space_group_IT_number 1
loop_
_space_group_symop_operation_xyz
'x,y,z'
loop_
_atom_site_label
_atom_site_type_symbol
_atom_site_fract_x
_atom_site_fract_y
_atom_site_fract_z
Rb1 Rb 0.1691 0.2391 0.4083
Rb2 Rb 0.3309 0.7391 0.0700
Rb3 Rb 0.6691 0.2609 0.9300
Rb4 Rb 0.8309 0.7609 0.5917
Zn1 Zn 0.2500 0.7500 0.5000
Zn2 Zn 0.7500 0.2500 0.5000
Ag1 Ag 0.2500 0.2500 0.0000
Ag2 Ag 0.7500 0.7500 0.0000
As1 As 0.0870 0.7296 0.8167
As2 As 0.4130 0.2296 0.6426
As3 As 0.5870 0.7704 0.3574
As4 As 0.9130 0.2704 0.1833
```

Most intense lines, 5 to 70 degrees two-theta, in order of rising 2θ:
10.76°, d 8.223, I 87.4; 29.28°, d 3.050, I 100.0; 29.70°, d 3.008, I 26.1; 35.32°, d 2.541, I 48.4; 35.55°, d 2.525, I 46.5; 39.63°, d 2.274, I 70.9

=====

# Ag2AsS3
Computed powder diffraction line list, a wavelength of 1.5418 Å. Input: a cell relaxed with GGA-PBE.

Cell and atoms:
```
data_Ag2AsS3
_cell_length_a 6.7962
_cell_length_b 6.7962
_cell_length_c 6.7962
_cell_angle_alpha 142.85
_cell_angle_beta 62.70
_cell_angle_gamma 131.43
_space_group_name_H-M_alt 'P 1'
_space_group_IT_number 1
loop_
_space_group_symop_operation_xyz
'x,y,z'
loop_
_atom_site_label
_atom_site_type_symbol
_atom_site_fract_x
_atom_site_fract_y
_atom_site_fract_z
Ag1 Ag 0.1568 0.0000 0.1568
Ag2 Ag 0.8432 0.0000 0.8432
As1 As 0.4801 0.9801 0.5000
S1 S 0.0906 0.7464 0.3442
S2 S 0.4022 0.7464 0.6558
S3 S 0.6732 0.6732 0.0000
```

Most intense lines, 5 to 70 degrees two-theta, in order of rising 2θ:
26.03°, d 3.423, I 100.0; 28.04°, d 3.182, I 95.5; 30.99°, d 2.885, I 27.2; 41.72°, d 2.165, I 23.7; 45.16°, d 2.008, I 67.8; 51.02°, d 1.790, I 34.0